Starting from DFT lattice parameters and positions (GGA+U), the powder diffraction line list of Rb2FeHgF6 was simulated for Cu Ka.

Cell: 9.044 9.044 9.044 Å, 90.00 90.00 90.00°
Space group Fm-3m (No. 225)
Inequivalent atoms, fractional coordinates:
Rb: 0.250 0.250 0.250
Fe: 0.000 0.000 0.000
Hg: 0.000 0.000 0.500
F: 0.000 0.000 0.217

Principal peaks in the range 2θ = 10–80°, low angle first:
(1 1 1), 2θ = 16.98°, I 162; (2 2 0), 2θ = 27.90°, I 1000; (3 1 1), 2θ = 32.84°, I 179; (4 0 0), 2θ = 39.87°, I 346; (4 2 2), 2θ = 49.36°, I 396; (4 4 0), 2θ = 57.66°, I 212; (6 2 0), 2θ = 65.25°, I 201; (6 4 2), 2θ = 79.27°, I 225